Dy3Tm4Ni2Te2: simulated powder diffractogram (Cu Kα (weighted mean of Kα1 and Kα2)), based on a cell relaxed with PBE.
Lines closer than 0.1° are merged.

Top 8 peaks for 2θ = 10–90°, in order of rising 2θ:
2θ = 28.99°, I = 25; 2θ = 30.51°, I = 51; 2θ = 33.13°, I = 82; 2θ = 34.20°, I = 100; 2θ = 34.69°, I = 76; 2θ = 36.80°, I = 23; 2θ = 47.46°, I = 30; 2θ = 59.10°, I = 31

Cell and atoms:
```
data_Dy3Tm4Ni2Te2
_cell_length_a 9.3056
_cell_length_b 9.3056
_cell_length_c 9.3056
_cell_angle_alpha 156.24
_cell_angle_beta 66.87
_cell_angle_gamma 118.53
_space_group_name_H-M_alt 'P 1'
_space_group_IT_number 1
loop_
_space_group_symop_operation_xyz
'x,y,z'
loop_
_atom_site_label
_atom_site_type_symbol
_atom_site_fract_x
_atom_site_fract_y
_atom_site_fract_z
Dy1 Dy 0.0000 0.0000 0.0000
Dy2 Dy 0.4481 0.5809 0.8672
Dy3 Dy 0.7137 0.5809 0.1328
Tm1 Tm 0.0638 0.3789 0.6849
Tm2 Tm 0.0820 0.7298 0.3522
Tm3 Tm 0.3776 0.7298 0.6478
Tm4 Tm 0.6941 0.3789 0.3151
Ni1 Ni 0.3083 0.0711 0.2372
Ni2 Ni 0.8338 0.0711 0.7628
Te1 Te 0.3343 0.3343 0.0000
Te2 Te 0.7352 0.2352 0.5000
```

Zr2Ga3W4N3: simulated powder diffractogram (Cu Kα (weighted mean of Kα1 and Kα2)), based on a cell relaxed with PBE.
Lines closer than 0.1° are merged.

Top 8 peaks for 2θ = 10–90°, in order of rising 2θ:
2θ = 13.40°, I = 29; 2θ = 19.08°, I = 21; 2θ = 33.14°, I = 29; 2θ = 33.80°, I = 18; 2θ = 39.00°, I = 100; 2θ = 39.29°, I = 53; 2θ = 40.99°, I = 35; 2θ = 59.15°, I = 16

Cell and atoms:
```
data_Zr2Ga3W4N3
_cell_length_a 5.4014
_cell_length_b 5.4014
_cell_length_c 13.6094
_cell_angle_alpha 101.95
_cell_angle_beta 101.95
_cell_angle_gamma 60.17
_space_group_name_H-M_alt 'P 1'
_space_group_IT_number 1
loop_
_space_group_symop_operation_xyz
'x,y,z'
loop_
_atom_site_label
_atom_site_type_symbol
_atom_site_fract_x
_atom_site_fract_y
_atom_site_fract_z
Zr1 Zr 0.0389 0.8687 0.6164
Zr2 Zr 0.1313 0.9611 0.8836
Zr3 Zr 0.8687 0.0389 0.1164
Zr4 Zr 0.9611 0.1313 0.3836
Ga1 Ga 0.0847 0.3908 0.7482
Ga2 Ga 0.3908 0.0847 0.2482
Ga3 Ga 0.4333 0.5667 0.2500
Ga4 Ga 0.5667 0.4333 0.7500
Ga5 Ga 0.6092 0.9153 0.7518
Ga6 Ga 0.9153 0.6092 0.2518
W1 W 0.1950 0.3762 0.0786
W2 W 0.3194 0.4549 0.4207
W3 W 0.3762 0.1950 0.5786
W4 W 0.4549 0.3194 0.9207
W5 W 0.5451 0.6806 0.0793
W6 W 0.6238 0.8050 0.4214
W7 W 0.6806 0.5451 0.5793
W8 W 0.8050 0.6238 0.9214
N1 N 0.0000 0.5000 0.5000
N2 N 0.1485 0.7048 0.0001
N3 N 0.2952 0.8515 0.4999
N4 N 0.5000 0.0000 0.0000
N5 N 0.7048 0.1485 0.5001
N6 N 0.8515 0.2952 0.9999
```

LiDyAsO: simulated powder diffractogram (Cu Kα (weighted mean of Kα1 and Kα2)), based on a cell relaxed with PBE.
Lines closer than 0.1° are merged.

Top 8 peaks for 2θ = 10–90°, in order of rising 2θ:
2θ = 29.86°, I = 100; 2θ = 33.51°, I = 37; 2θ = 36.37°, I = 31; 2θ = 48.12°, I = 19; 2θ = 50.56°, I = 16; 2θ = 57.67°, I = 31; 2θ = 58.43°, I = 15; 2θ = 61.78°, I = 13

Cell and atoms:
```
data_LiDyAsO
_cell_length_a 3.7818
_cell_length_b 3.7818
_cell_length_c 9.7876
_cell_angle_alpha 90.00
_cell_angle_beta 90.00
_cell_angle_gamma 90.00
_space_group_name_H-M_alt 'P 1'
_space_group_IT_number 1
loop_
_space_group_symop_operation_xyz
'x,y,z'
loop_
_atom_site_label
_atom_site_type_symbol
_atom_site_fract_x
_atom_site_fract_y
_atom_site_fract_z
Li1 Li 0.2500 0.7500 0.0000
Li2 Li 0.7500 0.2500 0.0000
Dy1 Dy 0.2500 0.2500 0.3820
Dy2 Dy 0.7500 0.7500 0.6180
As1 As 0.2500 0.2500 0.8128
As2 As 0.7500 0.7500 0.1872
O1 O 0.2500 0.7500 0.5000
O2 O 0.7500 0.2500 0.5000
```

TbAuSO: simulated powder diffractogram (Cu Kα (weighted mean of Kα1 and Kα2)), based on a cell relaxed with PBE.
Lines closer than 0.1° are merged.

Top 8 peaks for 2θ = 10–90°, in order of rising 2θ:
2θ = 19.92°, I = 69; 2θ = 29.95°, I = 43; 2θ = 30.10°, I = 97; 2θ = 31.72°, I = 90; 2θ = 33.25°, I = 100; 2θ = 37.69°, I = 47; 2θ = 46.55°, I = 47; 2θ = 46.68°, I = 44

Cell and atoms:
```
data_TbAuSO
_cell_length_a 8.9140
_cell_length_b 5.6527
_cell_length_c 5.6428
_cell_angle_alpha 90.00
_cell_angle_beta 90.50
_cell_angle_gamma 90.00
_space_group_name_H-M_alt 'P 1'
_space_group_IT_number 1
loop_
_space_group_symop_operation_xyz
'x,y,z'
loop_
_atom_site_label
_atom_site_type_symbol
_atom_site_fract_x
_atom_site_fract_y
_atom_site_fract_z
Tb1 Tb 0.1230 0.0022 0.2523
Tb2 Tb 0.1230 0.4978 0.7523
Tb3 Tb 0.8770 0.5022 0.2477
Tb4 Tb 0.8770 0.9978 0.7477
Au1 Au 0.4991 0.7439 0.2481
Au2 Au 0.4991 0.7561 0.7481
Au3 Au 0.5009 0.2439 0.2519
Au4 Au 0.5009 0.2561 0.7519
S1 S 0.2822 0.0066 0.7537
S2 S 0.2822 0.4934 0.2537
S3 S 0.7178 0.5066 0.7463
S4 S 0.7178 0.9934 0.2463
O1 O 0.0022 0.7503 0.0001
O2 O 0.0022 0.7497 0.5001
O3 O 0.9978 0.2497 0.9999
O4 O 0.9978 0.2503 0.4999
```